No. 1
The following is a computed X-ray diffraction stick pattern of MoF3. It was derived from a GGA+U-relaxed structure, using Cu Kα (weighted mean of Kα1 and Kα2).
Peak positions follow from Bragg's law for the DFT cell and can differ from measured ones.

Main lines, in order of falling intensity (5° ≤ 2θ ≤ 70°):
| d [Å] | Position (°2θ) | Rel. int. | index |
| --- | --- | --- | --- |
| 3.939 | 22.57 | 100 | 0 1 2 |
| 2.886 | 30.98 | 33 | 1 0 4 |
| 1.812 | 50.36 | 30 | 1 1 6 |
| 1.970 | 46.09 | 16 | 0 2 4 |
| 2.694 | 33.25 | 16 | 1 1 0 |
| 1.715 | 53.42 | 16 | 1 2 2 |
| 2.224 | 40.57 | 13 | 2 0 2 |
| 1.590 | 58.00 | 12 | 2 1 4 |
| 1.556 | 59.41 | 12 | 3 0 0 |
| 2.361 | 38.12 | 11 | 1 1 3 |

Crystal structure
a b c (Å): 5.3888 5.3888 14.6908
angles (deg): 90.00 90.00 120.00
Space group R-3c (No. 167, hexagonal axes)
Inequivalent atoms, fractional coordinates:
Mo1 0.0000 0.0000 0.0000 [6 per cell]
F1 0.0000 0.3666 0.2500 [18 per cell]


No. 2
The following is a computed X-ray diffraction stick pattern of Mg6AlCrO8. It was derived from a GGA+U-relaxed structure, using Cu Kα (weighted mean of Kα1 and Kα2).
Peak positions follow from Bragg's law for the DFT cell and can differ from measured ones.

Main lines, in order of falling intensity (5° ≤ 2θ ≤ 70°):
| d [Å] | Position (°2θ) | Rel. int. | index |
| --- | --- | --- | --- |
| 2.139 | 42.25 | 100 | 2 0 0 |
| 1.531 | 60.49 | 55 | 2 0 4 |
| 2.191 | 41.20 | 50 | 0 0 4 |
| 1.513 | 61.28 | 28 | 2 2 0 |
| 2.490 | 36.08 | 28 | 1 1 2 |
| 2.412 | 37.27 | 5 | 1 0 3 |
| 3.061 | 29.17 | 5 | 1 0 2 |
| 4.279 | 20.76 | 5 | 1 0 0 |
| 2.101 | 43.04 | 4 | 1 1 3 |
| 8.763 | 10.09 | 4 | 0 0 1 |

Crystal structure
a b c (Å): 4.279 4.279 8.763
angles (deg): 90.00 90.00 90.00
Space group P4/mmm (No. 123)
Inequivalent atoms, fractional coordinates:
Mg1 0.000 0.000 0.000 [1 per cell]
Mg2 0.000 0.000 0.500 [1 per cell]
Mg3 0.000 0.500 0.248 [4 per cell]
Al1 0.500 0.500 0.500 [1 per cell]
Cr1 0.500 0.500 0.000 [1 per cell]
O1 0.000 0.000 0.252 [2 per cell]
O2 0.000 0.500 0.000 [2 per cell]
O3 0.000 0.500 0.500 [2 per cell]
O4 0.500 0.500 0.291 [2 per cell]


No. 3
The following is a computed X-ray diffraction stick pattern of Li10FeSi2O10. It was derived from a GGA+U-relaxed structure, using Cu Kα (weighted mean of Kα1 and Kα2).
Peak positions follow from Bragg's law for the DFT cell and can differ from measured ones.

Main lines, in order of falling intensity (5° ≤ 2θ ≤ 70°):
| d [Å] | Position (°2θ) | Rel. int. | index |
| --- | --- | --- | --- |
| 3.959 | 22.46 | 100 | 1 1 -1 |
| 4.278 | 20.76 | 60 | 5 1 0 |
| 4.550 | 19.51 | 45 | 4 0 -1 |
| 2.721 | 32.92 | 31 | 7 1 1 |
| 1.590 | 58.02 | 27 | 16 2 0 |
| 2.618 | 34.25 | 27 | 6 2 0 |
| 1.844 | 49.42 | 27 | 4 2 2 |
| 3.868 | 22.99 | 26 | 6 0 -1 |
| 3.086 | 28.93 | 26 | 0 2 0 |
| 2.580 | 34.77 | 25 | 2 0 -2 |

Crystal structure
a b c (Å): 30.050 6.173 5.161
angles (deg): 90.00 99.12 90.00
Space group C2/m (No. 12)
Inequivalent atoms, fractional coordinates:
Li1 0.010 0.000 0.259 [4 per cell]
Li2 0.068 0.207 0.895 [8 per cell]
Li3 0.132 0.285 0.240 [8 per cell]
Li4 0.132 0.500 0.780 [4 per cell]
Li5 0.175 0.000 0.934 [4 per cell]
Li6 0.195 0.257 0.603 [8 per cell]
Li7 0.230 0.000 0.324 [4 per cell]
Fe1 0.036 0.500 0.175 [4 per cell]
Si1 0.101 0.000 0.508 [4 per cell]
Si2 0.219 0.500 0.129 [4 per cell]
O1 0.000 0.251 0.000 [4 per cell]
O2 0.051 0.000 0.600 [4 per cell]
O3 0.093 0.500 0.054 [4 per cell]
O4 0.097 0.000 0.183 [4 per cell]
O5 0.129 0.216 0.626 [8 per cell]
O6 0.194 0.275 0.217 [8 per cell]
O7 0.214 0.500 0.806 [4 per cell]
O8 0.228 0.000 0.720 [4 per cell]